The following is a calculated PXRD pattern of LiO2. It was derived from a DFT-relaxed cell (GGA-PBE, the Materials Project), using Cu Kα.

Atomic structure:
```
LiO2
1.0
1.585 0.915 3.320
-1.585 0.915 3.320
0.000 -1.830 3.320
Li O
1 2
Direct
0.000 0.000 0.000
0.223 0.223 0.223
0.777 0.777 0.777
```

The 6 most intense peaks (2θ from 15° to 90°), sorted by position:
2θ/deg	d (Å)	intensity
26.85	3.320	17
33.87	2.647	23
37.40	2.404	100
49.41	1.844	53
57.13	1.612	28
58.21	1.585	42